For Cs2NiBr6F, a PBE+U-relaxed structure gives the theoretical X-ray diffraction stick pattern in this record (Cu Kα (weighted mean of Kα1 and Kα2)).
No peak broadening, texture or thermal motion is included.

Peak list (10 most intense, 10 to 90 degrees two-theta, in order of rising 2θ)
two_theta, I_rel
14.3, 12
23.0, 17
28.8, 100
30.9, 29
34.5, 51
47.0, 35
49.6, 18
53.6, 11
58.3, 26
59.6, 17

Atomic structure:
Lattice parameters (Å, degrees): 7.352 7.352 11.589 90.00 90.00 90.00
Space group I4/mmm (No. 139)
Symmetry-distinct sites (fractional):
1 Cs 0.000 0.500 0.250 x4
2 Ni 0.000 0.000 0.000 x2
3 Br 0.000 0.000 0.211 x4
4 Br 0.244 0.244 0.000 x8
5 F 0.000 0.000 0.500 x2